Diffraction record for KCaN. The powder XRD pattern is computed, not measured: it uses a DFT-relaxed cell (PBE, the Materials Project) and Cu Kα X-rays.
No peak broadening, texture or thermal motion is included.

Principal peaks in the range 5 to 70 degrees two-theta, sorted by position:
Position (°2θ), d (Å), I_rel
14.13, 6.270, 63
28.02, 3.184, 95
28.47, 3.135, 24
32.60, 2.747, 100
42.98, 2.104, 23
46.48, 1.954, 41

Cell: 3.908 3.908 6.667 Å, 107.13 107.13 59.97°
Sites, in units of the cell vectors:
K1 0.000 0.000 0.000
Ca1 0.466 0.466 0.397
N1 0.762 0.762 0.284